Entry 1:
Structure and theoretical powder diffraction line list of La3Cu2Si2Ni2Ge2 (DFT lattice parameters and positions (GGA-PBE); Cu Kα X-rays).
Neutral-atom scattering factors, no anomalous dispersion.

```
data_La3Cu2Si2Ni2Ge2
_cell_length_a 4.2185
_cell_length_b 4.2308
_cell_length_c 24.0663
_cell_angle_alpha 90.00
_cell_angle_beta 90.00
_cell_angle_gamma 90.00
_space_group_name_H-M_alt 'I m m m'
_space_group_IT_number 71
_space_group_name_Hall '-I 2 2'
loop_
_atom_site_label
_atom_site_fract_x
_atom_site_fract_y
_atom_site_fract_z
La1 0.0000 0.0000 0.0000
La2 0.0000 0.5000 0.3487
Cu1 0.0000 0.0000 0.2493
Si1 0.0000 0.5000 0.1959
Ni1 0.0000 0.5000 0.0991
Ge1 0.0000 0.0000 0.4467
```

Main lines, most intense first (5° ≤ 2θ ≤ 70°):
h k l  2θ (°)  I/Imax
1 1 4  33.52  100
0 2 0  42.74  19
1 0 9  39.92  19
2 0 0  42.88  18
2 1 7  55.54  14
1 0 3  23.82  14
2 2 0  62.15  12
1 2 9  59.91  11
1 0 11  46.77  10
1 1 2  30.84  10
0 1 5  28.08  9
0 1 13  54.07  8

Entry 2:
Structure and theoretical powder diffraction line list of In9Au13 (DFT lattice parameters and positions (GGA-PBE); Cu Kα X-rays).
Neutral-atom scattering factors, no anomalous dispersion.

```
data_In9Au13
_cell_length_a 16.2878
_cell_length_b 9.4632
_cell_length_c 14.1602
_cell_angle_alpha 90.00
_cell_angle_beta 125.02
_cell_angle_gamma 90.00
_space_group_name_H-M_alt 'C 1 2/c 1'
_space_group_IT_number 15
_space_group_name_Hall '-C 2yc'
loop_
_atom_site_label
_atom_site_fract_x
_atom_site_fract_y
_atom_site_fract_z
In1 0.0000 0.1221 0.2500
In2 0.0301 0.1604 0.6157
In3 0.0356 0.4241 0.1251
In4 0.2281 0.3757 0.8727
In5 0.2398 0.3698 0.6188
Au1 0.0000 0.3605 0.7500
Au2 0.0983 0.1325 0.1334
Au3 0.1250 0.3766 0.0024
Au4 0.1257 0.1192 0.4958
Au5 0.1360 0.3623 0.3694
Au6 0.1429 0.1130 0.8737
Au7 0.2451 0.1197 0.7463
```

Main lines, most intense first (5° ≤ 2θ ≤ 70°):
h k l  2θ (°)  I/Imax
0 4 0  38.04  100
6 2 -3  38.20  70
4 4 -6  54.94  18
6 6 -3  68.87  12
2 6 3  68.73  10
10 2 -1  68.99  8
0 0 8  64.26  6
8 0 0  55.08  6
10 2 -9  69.11  5
2 2 -1  21.72  4
1 3 -4  39.89  4
8 0 -8  55.16  4